Record 1
# Ge2Pd2O5
Theoretical X-ray diffraction stick pattern, λ = 1.5418 Å (Cu Kα). Input: a DFT-relaxed cell (PBE, OQMD).
Lines closer than 0.1° are merged.

Largest 10 diffraction maxima, in order of falling intensity, 2θ from 10° to 80°:
d 2.569, 2θ 34.92, rel. 100.0
d 2.812, 2θ 31.82, rel. 72.2
d 1.988, 2θ 45.63, rel. 51.6
d 1.572, 2θ 58.72, rel. 44.3
d 1.954, 2θ 46.47, rel. 20.8
d 1.406, 2θ 66.50, rel. 15.4
d 6.732, 2θ 13.15, rel. 14.1
d 1.394, 2θ 67.16, rel. 13.1
d 3.977, 2θ 22.36, rel. 12.8
d 1.258, 2θ 75.62, rel. 12.5

Structural model:
Unit cell a=3.977 b=3.977 c=6.732 alpha=90.00 beta=90.00 gamma=90.00
Positions (direct):
Ge1 0.000 0.000 0.000
Ge2 0.000 0.000 0.500
Pd1 0.500 0.500 0.194
Pd2 0.500 0.500 0.806
O1 0.000 0.500 0.226
O2 0.000 0.500 0.774
O3 0.500 0.000 0.226
O4 0.500 0.000 0.774
O5 0.500 0.500 0.500



Record 2
# Sm3GaCo3
Theoretical X-ray diffraction stick pattern, λ = 1.5418 Å (Cu Kα). Input: a DFT-relaxed cell (PBE, OQMD).
Lines closer than 0.1° are merged.

Largest 10 diffraction maxima, in order of falling intensity, 2θ from 10° to 80°:
d 2.628, 2θ 34.12, rel. 100.0
d 2.497, 2θ 35.96, rel. 87.7
d 2.893, 2θ 30.91, rel. 76.5
d 2.251, 2θ 40.06, rel. 67.8
d 2.748, 2θ 32.58, rel. 56.1
d 2.091, 2θ 43.26, rel. 53.9
d 2.191, 2θ 41.21, rel. 40.1
d 2.181, 2θ 41.41, rel. 27.5
d 1.664, 2θ 55.19, rel. 25.6
d 1.513, 2θ 61.28, rel. 23.9

Structural model:
Unit cell a=5.481 b=5.481 c=13.084 alpha=90.00 beta=90.00 gamma=135.14
Positions (direct):
Sm1 0.003 0.997 0.750
Sm2 0.293 0.707 0.603
Sm3 0.293 0.707 0.897
Sm4 0.707 0.293 0.103
Sm5 0.707 0.293 0.397
Sm6 0.997 0.003 0.250
Ga1 0.000 0.000 0.000
Ga2 0.000 0.000 0.500
Co1 0.303 0.697 0.250
Co2 0.418 0.582 0.095
Co3 0.418 0.582 0.405
Co4 0.582 0.418 0.595
Co5 0.582 0.418 0.905
Co6 0.697 0.303 0.750



Record 3
# NaZn4Au2
Theoretical X-ray diffraction stick pattern, λ = 1.5418 Å (Cu Kα). Input: a DFT-relaxed cell (PBE, OQMD).
Lines closer than 0.1° are merged.

Largest 10 diffraction maxima, in order of falling intensity, 2θ from 10° to 80°:
d 2.109, 2θ 42.87, rel. 100.0
d 3.811, 2θ 23.34, rel. 58.4
d 3.390, 2θ 26.29, rel. 49.7
d 2.181, 2θ 41.41, rel. 30.7
d 2.292, 2θ 39.30, rel. 29.5
d 2.695, 2θ 33.25, rel. 27.3
d 1.848, 2θ 49.30, rel. 19.6
d 2.686, 2θ 33.36, rel. 18.3
d 1.245, 2θ 76.53, rel. 17.9
d 1.893, 2θ 48.07, rel. 17.9

Structural model:
Unit cell a=7.621 b=7.621 c=4.361 alpha=90.00 beta=90.00 gamma=90.00
Positions (direct):
Na1 0.000 0.000 0.000
Na2 0.500 0.500 0.500
Zn1 0.102 0.359 0.500
Zn2 0.141 0.602 0.000
Zn3 0.359 0.102 0.500
Zn4 0.398 0.859 0.000
Zn5 0.602 0.141 0.000
Zn6 0.641 0.898 0.500
Zn7 0.859 0.398 0.000
Zn8 0.898 0.641 0.500
Au1 0.220 0.780 0.500
Au2 0.280 0.280 0.000
Au3 0.720 0.720 0.000
Au4 0.780 0.220 0.500



Record 4
# ZnTe2Pb2F2
Theoretical X-ray diffraction stick pattern, λ = 1.5418 Å (Cu Kα). Input: a DFT-relaxed cell (PBE, OQMD).
Lines closer than 0.1° are merged.

Largest 10 diffraction maxima, in order of falling intensity, 2θ from 10° to 80°:
d 3.146, 2θ 28.37, rel. 100.0
d 1.739, 2θ 52.62, rel. 39.7
d 2.951, 2θ 30.28, rel. 36.5
d 2.087, 2θ 43.36, rel. 27.4
d 2.512, 2θ 35.74, rel. 26.6
d 2.076, 2θ 43.59, rel. 25.4
d 1.472, 2θ 63.17, rel. 17.0
d 1.859, 2θ 49.00, rel. 15.4
d 1.336, 2θ 70.47, rel. 10.3
d 1.268, 2θ 74.92, rel. 9.7

Structural model:
Unit cell a=4.174 b=4.174 c=9.573 alpha=90.00 beta=90.00 gamma=90.00
Positions (direct):
Zn1 0.000 0.000 0.000
Te1 0.000 0.500 0.827
Te2 0.500 0.000 0.173
Pb1 0.000 0.500 0.344
Pb2 0.500 0.000 0.656
F1 0.000 0.000 0.500
F2 0.500 0.500 0.500



Record 5
# Li2MgScSi2Pd2
Theoretical X-ray diffraction stick pattern, λ = 1.5418 Å (Cu Kα). Input: a DFT-relaxed cell (PBE, OQMD).
Lines closer than 0.1° are merged.

Largest 10 diffraction maxima, in order of falling intensity, 2θ from 10° to 80°:
d 2.185, 2θ 41.33, rel. 100.0
d 3.567, 2θ 24.96, rel. 89.1
d 1.861, 2θ 48.93, rel. 27.8
d 1.261, 2θ 75.41, rel. 21.4
d 1.866, 2θ 48.80, rel. 14.1
d 1.418, 2θ 65.85, rel. 11.2
d 1.543, 2θ 59.95, rel. 10.7
d 1.263, 2θ 75.25, rel. 10.7
d 3.086, 2θ 28.93, rel. 6.8
d 1.416, 2θ 65.97, rel. 5.6

Structural model:
Unit cell a=4.364 b=4.364 c=6.194 alpha=90.00 beta=90.00 gamma=90.00
Positions (direct):
Li1 0.000 0.500 0.235
Li2 0.500 0.000 0.765
Mg1 0.500 0.500 0.000
Sc1 0.000 0.000 0.500
Si1 0.000 0.000 0.000
Si2 0.500 0.500 0.500
Pd1 0.000 0.500 0.751
Pd2 0.500 0.000 0.249



Record 6
# Ho3Er3SbTeOs
Theoretical X-ray diffraction stick pattern, λ = 1.5418 Å (Cu Kα). Input: a DFT-relaxed cell (PBE, OQMD).
Lines closer than 0.1° are merged.

Largest 10 diffraction maxima, in order of falling intensity, 2θ from 10° to 80°:
d 2.685, 2θ 33.37, rel. 100.0
d 2.903, 2θ 30.80, rel. 72.9
d 2.247, 2θ 40.14, rel. 38.7
d 2.365, 2θ 38.04, rel. 31.1
d 1.514, 2θ 61.23, rel. 25.1
d 2.056, 2θ 44.04, rel. 19.4
d 1.632, 2θ 56.38, rel. 18.1
d 7.096, 2θ 12.47, rel. 17.2
d 1.552, 2θ 59.57, rel. 16.9
d 1.775, 2θ 51.48, rel. 12.5

Structural model:
Unit cell a=8.194 b=8.194 c=4.113 alpha=90.00 beta=90.00 gamma=120.00
Positions (direct):
Ho1 0.005 0.613 0.000
Ho2 0.387 0.392 0.000
Ho3 0.608 0.995 0.000
Er1 0.000 0.238 0.500
Er2 0.238 0.000 0.500
Er3 0.762 0.762 0.500
Sb1 0.333 0.667 0.500
Te1 0.667 0.333 0.500
Os1 0.000 0.000 0.000



Record 7
# BaSiAg2Se2S2
Theoretical X-ray diffraction stick pattern, λ = 1.5418 Å (Cu Kα). Input: a DFT-relaxed cell (PBE, OQMD).
Lines closer than 0.1° are merged.

Largest 10 diffraction maxima, in order of falling intensity, 2θ from 10° to 80°:
d 3.199, 2θ 27.89, rel. 100.0
d 3.154, 2θ 28.30, rel. 85.5
d 2.571, 2θ 34.90, rel. 63.8
d 3.022, 2θ 29.56, rel. 56.1
d 2.447, 2θ 36.73, rel. 50.0
d 5.271, 2θ 16.82, rel. 43.9
d 2.533, 2θ 35.44, rel. 37.6
d 1.911, 2θ 47.59, rel. 33.3
d 2.201, 2θ 41.00, rel. 28.5
d 2.948, 2θ 30.31, rel. 27.2

Structural model:
Unit cell a=9.803 b=8.250 c=6.856 alpha=90.00 beta=132.37 gamma=90.00
Positions (direct):
Ba1 0.000 0.000 0.000
Ba2 0.500 0.500 0.000
Si1 0.000 0.487 0.000
Si2 0.500 0.987 0.000
Ag1 0.000 0.313 0.500
Ag2 0.000 0.690 0.500
Ag3 0.500 0.190 0.500
Ag4 0.500 0.813 0.500
Se1 0.189 0.650 0.370
Se2 0.311 0.150 0.630
Se3 0.689 0.150 0.370
Se4 0.811 0.650 0.630
S1 0.174 0.342 0.986
S2 0.326 0.842 0.014
S3 0.674 0.842 0.986
S4 0.826 0.342 0.014



Record 8
# Cu9Ag
Theoretical X-ray diffraction stick pattern, λ = 1.5418 Å (Cu Kα). Input: a DFT-relaxed cell (PBE, OQMD).
Lines closer than 0.1° are merged.

Largest 10 diffraction maxima, in order of falling intensity, 2θ from 10° to 80°:
d 2.122, 2θ 42.60, rel. 100.0
d 2.118, 2θ 42.69, rel. 96.7
d 1.857, 2θ 49.05, rel. 63.3
d 1.291, 2θ 73.32, rel. 33.8
d 1.796, 2θ 50.83, rel. 28.3
d 1.315, 2θ 71.76, rel. 9.5
d 1.311, 2θ 72.02, rel. 8.5
d 4.240, 2θ 20.95, rel. 1.8
d 2.149, 2θ 42.04, rel. 1.7
d 2.732, 2θ 32.78, rel. 1.5

Structural model:
Unit cell a=5.699 b=5.699 c=8.649 alpha=100.58 beta=100.58 gamma=26.69
Positions (direct):
Cu1 0.000 0.000 0.000
Cu2 0.099 0.099 0.286
Cu3 0.210 0.210 0.607
Cu4 0.300 0.300 0.904
Cu5 0.396 0.396 0.194
Cu6 0.604 0.604 0.806
Cu7 0.700 0.700 0.096
Cu8 0.790 0.790 0.393
Cu9 0.901 0.901 0.714
Ag1 0.500 0.500 0.500